Entry 1:
Starting from a cell relaxed with GGA-PBE, the powder X-ray diffraction pattern of TaGaTcPt was calculated for a wavelength of 1.5418 Å.
Peak positions follow from Bragg's law for the DFT cell and can differ from measured ones.

Top 6 peaks for 2θ = 10–90°, by angle:
- 2θ = 24.4°, rel. 16, hkl 1 1 1
- 2θ = 40.4°, rel. 100, hkl 2 2 0
- 2θ = 47.8°, rel. 8, hkl 3 1 1
- 2θ = 58.4°, rel. 17, hkl 4 0 0
- 2θ = 73.4°, rel. 34, hkl 4 2 2
- 2θ = 87.3°, rel. 11, hkl 4 4 0

Cell and atoms:
a b c (Å): 6.316 6.316 6.316
angles (deg): 90.00 90.00 90.00
Element x y z (fractional)
Ta 0.000 0.000 0.000
Ta 0.000 0.500 0.500
Ta 0.500 0.000 0.500
Ta 0.500 0.500 0.000
Ga 0.000 0.000 0.500
Ga 0.000 0.500 0.000
Ga 0.500 0.000 0.000
Ga 0.500 0.500 0.500
Tc 0.250 0.250 0.750
Tc 0.250 0.750 0.250
Tc 0.750 0.250 0.250
Tc 0.750 0.750 0.750
Pt 0.250 0.250 0.250
Pt 0.250 0.750 0.750
Pt 0.750 0.250 0.750
Pt 0.750 0.750 0.250

Entry 2:
Starting from a cell relaxed with GGA-PBE, the powder X-ray diffraction pattern of Li2ZnAu9 was calculated for a wavelength of 1.5418 Å.
Peak positions follow from Bragg's law for the DFT cell and can differ from measured ones.

Top 6 peaks for 2θ = 10–90°, by angle:
- 2θ = 21.8°, rel. 23, hkl 1 0 0
- 2θ = 31.0°, rel. 20, hkl 1 1 0
- 2θ = 38.2°, rel. 100, hkl 1 1 3
- 2θ = 44.4°, rel. 33, hkl 2 0 0
- 2θ = 64.6°, rel. 22, hkl 2 0 6
- 2θ = 77.7°, rel. 26, hkl 3 1 3

Cell and atoms:
a b c (Å): 4.076 4.076 12.271
angles (deg): 90.00 90.00 90.00
Element x y z (fractional)
Li 0.000 0.000 0.165
Li 0.000 0.000 0.835
Zn 0.000 0.000 0.500
Au 0.000 0.500 0.000
Au 0.000 0.500 0.331
Au 0.000 0.500 0.669
Au 0.500 0.000 0.000
Au 0.500 0.000 0.331
Au 0.500 0.000 0.669
Au 0.500 0.500 0.166
Au 0.500 0.500 0.500
Au 0.500 0.500 0.834

Entry 3:
Starting from a cell relaxed with GGA-PBE, the powder X-ray diffraction pattern of CrCd2Os was calculated for a wavelength of 1.5418 Å.
Peak positions follow from Bragg's law for the DFT cell and can differ from measured ones.

Top 6 peaks for 2θ = 10–90°, by angle:
- 2θ = 11.1°, rel. 25, hkl 0 0 1
- 2θ = 32.7°, rel. 16, hkl 1 0 -1
- 2θ = 33.6°, rel. 14, hkl 0 0 3
- 2θ = 38.2°, rel. 100, hkl 1 0 2
- 2θ = 43.9°, rel. 41, hkl 1 1 0
- 2θ = 76.8°, rel. 18, hkl 1 2 2

Cell and atoms:
a b c (Å): 2.919 2.920 7.996
angles (deg): 90.00 90.12 90.00
Element x y z (fractional)
Cr 0.000 0.000 0.000
Cd 0.002 0.000 0.436
Cd 0.499 0.500 0.743
Os 0.500 0.500 0.167

Entry 4:
Starting from a cell relaxed with GGA-PBE, the powder X-ray diffraction pattern of TlAsPd was calculated for a wavelength of 1.5418 Å.
Peak positions follow from Bragg's law for the DFT cell and can differ from measured ones.

Top 6 peaks for 2θ = 10–90°, by angle:
- 2θ = 25.9°, rel. 36, hkl 0 2 0
- 2θ = 28.8°, rel. 44, hkl 0 2 1
- 2θ = 31.5°, rel. 67, hkl 1 1 -2
- 2θ = 32.8°, rel. 100, hkl 1 1 2
- 2θ = 40.3°, rel. 83, hkl 2 2 0
- 2θ = 49.3°, rel. 42, hkl 1 3 -2

Cell and atoms:
a b c (Å): 5.911 6.879 7.118
angles (deg): 90.00 93.16 90.00
Element x y z (fractional)
Tl 0.241 0.000 0.350
Tl 0.259 0.500 0.650
Tl 0.741 0.500 0.350
Tl 0.759 0.000 0.650
As 0.202 0.500 0.149
As 0.298 0.000 0.851
As 0.702 0.000 0.149
As 0.798 0.500 0.851
Pd 0.000 0.206 0.000
Pd 0.000 0.794 0.000
Pd 0.500 0.294 0.000
Pd 0.500 0.706 0.000